Entry 1:
Computed X-ray diffraction stick pattern of ZrTaTe4 for copper Kα, from a DFT-relaxed cell (GGA-PBE, the Materials Project).
Neutral-atom scattering factors, no anomalous dispersion.

Atomic structure:
Cell: 3.833 3.833 14.508 Å, 90.00 90.00 120.00°
Sites, in units of the cell vectors:
Zr 0.000 0.000 0.000
Ta 0.000 0.000 0.500
Te 0.333 0.667 0.378
Te 0.333 0.667 0.871
Te 0.667 0.333 0.129
Te 0.667 0.333 0.622

Largest 10 diffraction maxima, low angle first, 10 to 90 degrees two-theta:
Position (°2θ)	I_rel
12.20	37
29.60	100
36.70	58
46.46	28
47.44	31
56.92	16
61.44	13
71.65	17
77.17	13
81.12	12

Entry 2:
Computed X-ray diffraction stick pattern of Th3Ta for copper Kα, from a DFT-relaxed cell (GGA-PBE, the Materials Project).
Neutral-atom scattering factors, no anomalous dispersion.

Atomic structure:
Cell: 6.756 6.756 5.772 Å, 90.00 90.00 120.00°
Sites, in units of the cell vectors:
Th 0.176 0.353 0.250
Th 0.176 0.824 0.250
Th 0.353 0.176 0.750
Th 0.647 0.824 0.250
Th 0.824 0.176 0.750
Th 0.824 0.647 0.750
Ta 0.333 0.667 0.750
Ta 0.667 0.333 0.250

Largest 10 diffraction maxima, low angle first, 10 to 90 degrees two-theta:
Position (°2θ)	I_rel
30.56	23
30.98	30
34.37	100
44.08	17
54.31	18
57.31	24
63.85	22
65.87	15
82.91	8
89.28	9

Entry 3:
Computed X-ray diffraction stick pattern of TaV2 for copper Kα, from a DFT-relaxed cell (GGA-PBE, the Materials Project).
Neutral-atom scattering factors, no anomalous dispersion.

Atomic structure:
Cell: 5.038 5.038 5.038 Å, 60.00 60.00 60.00°
Sites, in units of the cell vectors:
Ta 0.125 0.125 0.125
Ta 0.875 0.875 0.875
V 0.000 0.500 0.500
V 0.500 0.000 0.500
V 0.500 0.500 0.000
V 0.500 0.500 0.500

Largest 10 diffraction maxima, low angle first, 10 to 90 degrees two-theta:
Position (°2θ)	I_rel
21.60	33
35.64	82
42.06	100
44.02	9
56.28	9
64.02	30
68.41	31
75.47	21
79.60	7
86.36	14

Please write out number 1 again, unchanged.
Computed X-ray diffraction stick pattern of ZrTaTe4 for copper Kα, from a DFT-relaxed cell (GGA-PBE, the Materials Project).
Neutral-atom scattering factors, no anomalous dispersion.

Atomic structure:
Cell: 3.833 3.833 14.508 Å, 90.00 90.00 120.00°
Sites, in units of the cell vectors:
Zr 0.000 0.000 0.000
Ta 0.000 0.000 0.500
Te 0.333 0.667 0.378
Te 0.333 0.667 0.871
Te 0.667 0.333 0.129
Te 0.667 0.333 0.622

Largest 10 diffraction maxima, low angle first, 10 to 90 degrees two-theta:
Position (°2θ)	I_rel
12.20	37
29.60	100
36.70	58
46.46	28
47.44	31
56.92	16
61.44	13
71.65	17
77.17	13
81.12	12

Question: What is the formula in the first record?
Answer: ZrTaTe4